[1]
Diffraction record for Ac2AlPt7. The powder diffractogram is calculated, not measured: it uses a crystal structure in Alexandria, relaxed with GGA-PBE and a wavelength of 1.5418 Å.
Peak positions follow from Bragg's law for the DFT cell and can differ from measured ones.

Peak list (10 most intense, 2θ = 10–90°, most intense first)
two_theta	I/Imax
33.86	100
43.46	58
30.88	52
43.28	43
42.88	29
63.01	29
73.62	22
54.26	22
63.15	19
30.35	17

Structure:
```
data_Ac2AlPt7
_chemical_formula_sum 'Ac2 Al1 Pt7'
_symmetry_space_group_name_H-M 'P 1'
_symmetry_Int_Tables_number 1
_cell_length_a 4.164
_cell_length_b 4.164
_cell_length_c 12.086
_cell_angle_alpha 90.00
_cell_angle_beta 90.00
_cell_angle_gamma 90.00
loop_
_symmetry_equiv_pos_as_xyz
'x,y,z'
loop_
_atom_site_label
_atom_site_fract_x
_atom_site_fract_y
_atom_site_fract_z
Ac1 0.000 0.500 0.231
Ac2 0.500 0.000 0.769
Al1 0.000 0.000 0.500
Pt1 0.000 0.000 0.000
Pt2 0.000 0.500 0.634
Pt3 0.000 0.500 0.849
Pt4 0.500 0.000 0.151
Pt5 0.500 0.000 0.366
Pt6 0.500 0.500 0.000
Pt7 0.500 0.500 0.500
```

[2]
Diffraction record for Ac3Al3Pt8. The powder diffractogram is calculated, not measured: it uses a crystal structure in Alexandria, relaxed with GGA-PBE and a wavelength of 1.5418 Å.
Peak positions follow from Bragg's law for the DFT cell and can differ from measured ones.

Peak list (10 most intense, 2θ = 10–90°, most intense first)
two_theta	I/Imax
33.11	100
34.27	84
41.22	55
30.14	48
38.58	32
37.52	29
51.90	25
34.66	23
22.18	22
41.39	17

Structure:
```
data_Ac3Al3Pt8
_chemical_formula_sum 'Ac3 Al3 Pt8'
_symmetry_space_group_name_H-M 'P 1'
_symmetry_Int_Tables_number 1
_cell_length_a 8.549
_cell_length_b 8.549
_cell_length_c 9.251
_cell_angle_alpha 118.85
_cell_angle_beta 118.85
_cell_angle_gamma 29.69
loop_
_symmetry_equiv_pos_as_xyz
'x,y,z'
loop_
_atom_site_label
_atom_site_fract_x
_atom_site_fract_y
_atom_site_fract_z
Ac1 0.000 0.000 0.000
Ac2 0.296 0.296 0.348
Ac3 0.704 0.704 0.652
Al1 0.000 0.000 0.500
Al2 0.318 0.318 0.998
Al3 0.682 0.682 0.002
Pt1 0.104 0.104 0.376
Pt2 0.135 0.135 0.835
Pt3 0.359 0.359 0.770
Pt4 0.487 0.487 0.317
Pt5 0.513 0.513 0.683
Pt6 0.641 0.641 0.230
Pt7 0.865 0.865 0.165
Pt8 0.896 0.896 0.624
```

[3]
Diffraction record for Ac2AlSi3Pt12. The powder diffractogram is calculated, not measured: it uses a crystal structure in Alexandria, relaxed with GGA-PBE and a wavelength of 1.5418 Å.
Peak positions follow from Bragg's law for the DFT cell and can differ from measured ones.

Peak list (10 most intense, 2θ = 10–90°, most intense first)
two_theta	I/Imax
31.50	100
43.93	46
46.34	39
55.05	19
72.95	15
65.76	12
76.51	12
82.48	12
33.55	8
26.86	6

Structure:
```
data_Ac2AlSi3Pt12
_chemical_formula_sum 'Ac2 Al1 Si3 Pt12'
_symmetry_space_group_name_H-M 'P 1'
_symmetry_Int_Tables_number 1
_cell_length_a 7.856
_cell_length_b 7.856
_cell_length_c 7.856
_cell_angle_alpha 63.30
_cell_angle_beta 63.30
_cell_angle_gamma 63.30
loop_
_symmetry_equiv_pos_as_xyz
'x,y,z'
loop_
_atom_site_label
_atom_site_fract_x
_atom_site_fract_y
_atom_site_fract_z
Ac1 0.117 0.117 0.117
Ac2 0.883 0.883 0.883
Al1 0.500 0.500 0.500
Si1 0.000 0.500 0.500
Si2 0.500 0.000 0.500
Si3 0.500 0.500 0.000
Pt1 0.135 0.619 0.619
Pt2 0.149 0.149 0.600
Pt3 0.149 0.600 0.149
Pt4 0.381 0.381 0.865
Pt5 0.381 0.865 0.381
Pt6 0.400 0.851 0.851
Pt7 0.600 0.149 0.149
Pt8 0.619 0.135 0.619
Pt9 0.619 0.619 0.135
Pt10 0.851 0.400 0.851
Pt11 0.851 0.851 0.400
Pt12 0.865 0.381 0.381
```

[4]
Diffraction record for AcPu3Al8. The powder diffractogram is calculated, not measured: it uses a crystal structure in Alexandria, relaxed with GGA-PBE and a wavelength of 1.5418 Å.
Peak positions follow from Bragg's law for the DFT cell and can differ from measured ones.

Peak list (10 most intense, 2θ = 10–90°, most intense first)
two_theta	I/Imax
31.83	100
37.51	88
19.33	76
56.71	40
60.50	29
50.00	20
66.52	19
75.64	17
70.00	15
45.63	11

Structure:
```
data_AcPu3Al8
_chemical_formula_sum 'Ac1 Pu3 Al8'
_symmetry_space_group_name_H-M 'P 1'
_symmetry_Int_Tables_number 1
_cell_length_a 9.738
_cell_length_b 9.738
_cell_length_c 9.738
_cell_angle_alpha 33.56
_cell_angle_beta 33.56
_cell_angle_gamma 33.56
loop_
_symmetry_equiv_pos_as_xyz
'x,y,z'
loop_
_atom_site_label
_atom_site_fract_x
_atom_site_fract_y
_atom_site_fract_z
Ac1 0.000 0.000 0.000
Pu1 0.380 0.380 0.380
Pu2 0.499 0.499 0.499
Pu3 0.873 0.873 0.873
Al1 0.187 0.187 0.187
Al2 0.436 0.436 0.934
Al3 0.436 0.934 0.436
Al4 0.443 0.938 0.938
Al5 0.688 0.688 0.688
Al6 0.934 0.436 0.436
Al7 0.938 0.443 0.938
Al8 0.938 0.938 0.443
```

[5]
Diffraction record for Rb3Ac3AlS8. The powder diffractogram is calculated, not measured: it uses a crystal structure in Alexandria, relaxed with GGA-PBE and a wavelength of 1.5418 Å.
Peak positions follow from Bragg's law for the DFT cell and can differ from measured ones.

Peak list (10 most intense, 2θ = 10–90°, most intense first)
two_theta	I/Imax
28.49	100
11.24	59
25.25	48
39.04	36
42.36	34
14.14	26
22.58	24
48.53	22
51.85	17
24.38	16

Structure:
```
data_Rb3Ac3AlS8
_chemical_formula_sum 'Rb3 Ac3 Al1 S8'
_symmetry_space_group_name_H-M 'P 1'
_symmetry_Int_Tables_number 1
_cell_length_a 8.537
_cell_length_b 8.537
_cell_length_c 9.293
_cell_angle_alpha 117.39
_cell_angle_beta 117.39
_cell_angle_gamma 59.93
loop_
_symmetry_equiv_pos_as_xyz
'x,y,z'
loop_
_atom_site_label
_atom_site_fract_x
_atom_site_fract_y
_atom_site_fract_z
Rb1 0.000 0.000 0.000
Rb2 0.000 0.500 0.000
Rb3 0.500 0.000 0.000
Ac1 0.000 0.500 0.500
Ac2 0.500 0.000 0.500
Ac3 0.500 0.500 0.500
Al1 0.000 0.000 0.500
S1 0.202 0.202 0.680
S2 0.202 0.775 0.680
S3 0.225 0.798 0.320
S4 0.264 0.264 0.293
S5 0.736 0.736 0.707
S6 0.775 0.202 0.680
S7 0.798 0.225 0.320
S8 0.798 0.798 0.320
```

[6]
Diffraction record for Rb3Ac3AlSe8. The powder diffractogram is calculated, not measured: it uses a crystal structure in Alexandria, relaxed with GGA-PBE and a wavelength of 1.5418 Å.
Peak positions follow from Bragg's law for the DFT cell and can differ from measured ones.

Peak list (10 most intense, 2θ = 10–90°, most intense first)
two_theta	I/Imax
27.38	100
10.76	55
40.74	34
37.41	32
34.55	19
49.78	17
13.59	15
66.21	13
61.54	13
42.26	11

Structure:
```
data_Rb3Ac3AlSe8
_chemical_formula_sum 'Rb3 Ac3 Al1 Se8'
_symmetry_space_group_name_H-M 'P 1'
_symmetry_Int_Tables_number 1
_cell_length_a 8.863
_cell_length_b 8.863
_cell_length_c 9.691
_cell_angle_alpha 117.26
_cell_angle_beta 117.26
_cell_angle_gamma 59.92
loop_
_symmetry_equiv_pos_as_xyz
'x,y,z'
loop_
_atom_site_label
_atom_site_fract_x
_atom_site_fract_y
_atom_site_fract_z
Rb1 0.000 0.000 0.000
Rb2 0.000 0.500 0.000
Rb3 0.500 0.000 0.000
Ac1 0.000 0.500 0.500
Ac2 0.500 0.000 0.500
Ac3 0.500 0.500 0.500
Al1 0.000 0.000 0.500
Se1 0.205 0.205 0.684
Se2 0.205 0.774 0.685
Se3 0.226 0.795 0.315
Se4 0.263 0.263 0.289
Se5 0.737 0.737 0.711
Se6 0.774 0.205 0.685
Se7 0.795 0.226 0.315
Se8 0.795 0.795 0.316
```

[7]
Diffraction record for Ac2Al3Rh. The powder diffractogram is calculated, not measured: it uses a crystal structure in Alexandria, relaxed with GGA-PBE and a wavelength of 1.5418 Å.
Peak positions follow from Bragg's law for the DFT cell and can differ from measured ones.

Peak list (10 most intense, 2θ = 10–90°, most intense first)
two_theta	I/Imax
36.46	100
30.95	95
18.80	53
55.02	30
58.68	25
64.46	16
48.54	13
73.21	11
58.77	10
89.73	9

Structure:
```
data_Ac2Al3Rh
_chemical_formula_sum 'Ac2 Al3 Rh1'
_symmetry_space_group_name_H-M 'P 1'
_symmetry_Int_Tables_number 1
_cell_length_a 5.773
_cell_length_b 5.773
_cell_length_c 5.782
_cell_angle_alpha 119.94
_cell_angle_beta 119.94
_cell_angle_gamma 60.10
loop_
_symmetry_equiv_pos_as_xyz
'x,y,z'
loop_
_atom_site_label
_atom_site_fract_x
_atom_site_fract_y
_atom_site_fract_z
Ac1 0.126 0.126 0.378
Ac2 0.874 0.874 0.622
Al1 0.000 0.500 0.000
Al2 0.500 0.000 0.000
Al3 0.500 0.500 0.000
Rh1 0.500 0.500 0.500
```

[8]
Diffraction record for AcAlRh. The powder diffractogram is calculated, not measured: it uses a crystal structure in Alexandria, relaxed with GGA-PBE and a wavelength of 1.5418 Å.
Peak positions follow from Bragg's law for the DFT cell and can differ from measured ones.

Peak list (10 most intense, 2θ = 10–90°, most intense first)
two_theta	I/Imax
30.99	100
41.26	33
23.47	32
52.48	23
59.22	23
68.86	21
40.53	12
67.82	11
47.36	10
89.13	8

Structure:
```
data_AcAlRh
_chemical_formula_sum 'Ac1 Al1 Rh1'
_symmetry_space_group_name_H-M 'P 1'
_symmetry_Int_Tables_number 1
_cell_length_a 4.376
_cell_length_b 4.376
_cell_length_c 4.452
_cell_angle_alpha 90.00
_cell_angle_beta 90.00
_cell_angle_gamma 120.00
loop_
_symmetry_equiv_pos_as_xyz
'x,y,z'
loop_
_atom_site_label
_atom_site_fract_x
_atom_site_fract_y
_atom_site_fract_z
Ac1 0.000 0.000 0.000
Al1 0.667 0.333 0.500
Rh1 0.333 0.667 0.501
```

[9]
Diffraction record for AcAl6Rh3. The powder diffractogram is calculated, not measured: it uses a crystal structure in Alexandria, relaxed with GGA-PBE and a wavelength of 1.5418 Å.
Peak positions follow from Bragg's law for the DFT cell and can differ from measured ones.

Peak list (10 most intense, 2θ = 10–90°, most intense first)
two_theta	I/Imax
28.56	100
23.52	82
37.94	77
38.74	74
17.77	73
42.56	69
36.70	48
39.34	47
19.38	47
34.53	45

Structure:
```
data_AcAl6Rh3
_chemical_formula_sum 'Ac2 Al12 Rh6'
_symmetry_space_group_name_H-M 'P 1'
_symmetry_Int_Tables_number 1
_cell_length_a 7.090
_cell_length_b 6.640
_cell_length_c 8.476
_cell_angle_alpha 90.00
_cell_angle_beta 116.82
_cell_angle_gamma 90.00
loop_
_symmetry_equiv_pos_as_xyz
'x,y,z'
loop_
_atom_site_label
_atom_site_fract_x
_atom_site_fract_y
_atom_site_fract_z
Ac1 0.000 0.000 0.000
Ac2 0.000 0.500 0.500
Al1 0.145 0.010 0.680
Al2 0.145 0.490 0.180
Al3 0.323 0.667 0.900
Al4 0.323 0.833 0.400
Al5 0.449 0.205 0.255
Al6 0.449 0.295 0.755
Al7 0.551 0.705 0.245
Al8 0.551 0.795 0.745
Al9 0.677 0.167 0.600
Al10 0.677 0.333 0.100
Al11 0.855 0.510 0.820
Al12 0.855 0.990 0.320
Rh1 0.222 0.169 0.427
Rh2 0.222 0.331 0.927
Rh3 0.500 0.000 0.000
Rh4 0.500 0.500 0.500
Rh5 0.778 0.669 0.073
Rh6 0.778 0.831 0.573
```

[10]
Diffraction record for AcAlSiRh6. The powder diffractogram is calculated, not measured: it uses a crystal structure in Alexandria, relaxed with GGA-PBE and a wavelength of 1.5418 Å.
Peak positions follow from Bragg's law for the DFT cell and can differ from measured ones.

Peak list (10 most intense, 2θ = 10–90°, most intense first)
two_theta	I/Imax
34.82	100
31.45	56
47.62	51
38.72	47
36.07	47
27.58	35
12.29	25
45.70	25
29.87	16
50.71	16

Structure:
```
data_AcAlSiRh6
_chemical_formula_sum 'Ac2 Al2 Si2 Rh12'
_symmetry_space_group_name_H-M 'P 1'
_symmetry_Int_Tables_number 1
_cell_length_a 7.973
_cell_length_b 7.973
_cell_length_c 7.973
_cell_angle_alpha 134.32
_cell_angle_beta 108.64
_cell_angle_gamma 88.96
loop_
_symmetry_equiv_pos_as_xyz
'x,y,z'
loop_
_atom_site_label
_atom_site_fract_x
_atom_site_fract_y
_atom_site_fract_z
Ac1 0.420 0.170 0.250
Ac2 0.580 0.830 0.750
Al1 0.000 0.000 0.500
Al2 0.000 0.500 0.000
Si1 0.000 0.500 0.500
Si2 0.500 0.500 0.000
Rh1 0.115 0.360 0.210
Rh2 0.115 0.905 0.755
Rh3 0.163 0.913 0.250
Rh4 0.317 0.567 0.750
Rh5 0.350 0.095 0.710
Rh6 0.350 0.640 0.255
Rh7 0.650 0.360 0.745
Rh8 0.650 0.905 0.290
Rh9 0.683 0.433 0.250
Rh10 0.837 0.087 0.750
Rh11 0.885 0.095 0.245
Rh12 0.885 0.640 0.790
```

[11]
Diffraction record for AcAl9Ru2. The powder diffractogram is calculated, not measured: it uses a crystal structure in Alexandria, relaxed with GGA-PBE and a wavelength of 1.5418 Å.
Peak positions follow from Bragg's law for the DFT cell and can differ from measured ones.

Peak list (10 most intense, 2θ = 10–90°, most intense first)
two_theta	I/Imax
21.84	100
31.38	98
44.75	48
44.53	32
50.33	32
33.92	32
22.25	26
64.98	22
50.92	21
65.48	20

Structure:
```
data_AcAl9Ru2
_chemical_formula_sum 'Ac1 Al9 Ru2'
_symmetry_space_group_name_H-M 'P 1'
_symmetry_Int_Tables_number 1
_cell_length_a 8.138
_cell_length_b 8.138
_cell_length_c 3.996
_cell_angle_alpha 90.00
_cell_angle_beta 90.00
_cell_angle_gamma 120.00
loop_
_symmetry_equiv_pos_as_xyz
'x,y,z'
loop_
_atom_site_label
_atom_site_fract_x
_atom_site_fract_y
_atom_site_fract_z
Ac1 0.000 0.000 0.000
Al1 0.000 0.500 0.000
Al2 0.211 0.422 0.500
Al3 0.211 0.789 0.500
Al4 0.422 0.211 0.500
Al5 0.500 0.000 0.000
Al6 0.500 0.500 0.000
Al7 0.578 0.789 0.500
Al8 0.789 0.211 0.500
Al9 0.789 0.578 0.500
Ru1 0.333 0.667 0.000
Ru2 0.667 0.333 0.000
```

[12]
Diffraction record for AcAl4Ru. The powder diffractogram is calculated, not measured: it uses a crystal structure in Alexandria, relaxed with GGA-PBE and a wavelength of 1.5418 Å.
Peak positions follow from Bragg's law for the DFT cell and can differ from measured ones.

Peak list (10 most intense, 2θ = 10–90°, most intense first)
two_theta	I/Imax
34.30	100
26.77	78
21.06	60
22.52	59
31.03	59
33.39	36
47.66	33
42.24	26
42.88	25
51.27	24

Structure:
```
data_AcAl4Ru
_chemical_formula_sum 'Ac2 Al8 Ru2'
_symmetry_space_group_name_H-M 'P 1'
_symmetry_Int_Tables_number 1
_cell_length_a 7.896
_cell_length_b 4.218
_cell_length_c 7.348
_cell_angle_alpha 90.00
_cell_angle_beta 90.00
_cell_angle_gamma 90.00
loop_
_symmetry_equiv_pos_as_xyz
'x,y,z'
loop_
_atom_site_label
_atom_site_fract_x
_atom_site_fract_y
_atom_site_fract_z
Ac1 0.250 0.000 0.117
Ac2 0.750 0.000 0.883
Al1 0.000 0.000 0.500
Al2 0.071 0.500 0.785
Al3 0.250 0.500 0.460
Al4 0.429 0.500 0.785
Al5 0.500 0.000 0.500
Al6 0.571 0.500 0.215
Al7 0.750 0.500 0.540
Al8 0.929 0.500 0.215
Ru1 0.250 0.000 0.684
Ru2 0.750 0.000 0.316
```

[13]
Diffraction record for AcAl2S4. The powder diffractogram is calculated, not measured: it uses a crystal structure in Alexandria, relaxed with GGA-PBE and a wavelength of 1.5418 Å.
Peak positions follow from Bragg's law for the DFT cell and can differ from measured ones.

Peak list (10 most intense, 2θ = 10–90°, most intense first)
two_theta	I/Imax
18.54	100
15.31	99
37.65	74
23.07	73
25.16	65
30.61	59
28.33	49
33.79	44
39.74	43
27.41	39

Structure:
```
data_AcAl2S4
_chemical_formula_sum 'Ac2 Al4 S8'
_symmetry_space_group_name_H-M 'P 1'
_symmetry_Int_Tables_number 1
_cell_length_a 8.163
_cell_length_b 7.297
_cell_length_c 9.669
_cell_angle_alpha 55.41
_cell_angle_beta 47.39
_cell_angle_gamma 77.20
loop_
_symmetry_equiv_pos_as_xyz
'x,y,z'
loop_
_atom_site_label
_atom_site_fract_x
_atom_site_fract_y
_atom_site_fract_z
Ac1 0.000 0.000 0.000
Ac2 0.250 0.250 0.250
Al1 0.146 0.660 0.525
Al2 0.581 0.725 0.590
Al3 0.660 0.146 0.669
Al4 0.725 0.581 0.104
S1 0.332 0.412 0.426
S2 0.412 0.332 0.831
S3 0.419 0.824 0.838
S4 0.450 0.866 0.405
S5 0.824 0.419 0.918
S6 0.845 0.971 0.800
S7 0.866 0.450 0.279
S8 0.971 0.845 0.384
```